1.
For Mn3In2Cl8, the PBE geometry in Alexandria gives the theoretical X-ray diffraction stick pattern in this record (Cu Ka).
No peak broadening, texture or thermal motion is included.

Atomic structure:
```
data_Mn3In2Cl8
_chemical_formula_sum 'Mn3 In2 Cl8'
_symmetry_space_group_name_H-M 'P 1'
_symmetry_Int_Tables_number 1
_cell_length_a 8.642
_cell_length_b 8.642
_cell_length_c 6.560
_cell_angle_alpha 105.93
_cell_angle_beta 105.93
_cell_angle_gamma 52.39
loop_
_symmetry_equiv_pos_as_xyz
'x,y,z'
loop_
_atom_site_label
_atom_site_fract_x
_atom_site_fract_y
_atom_site_fract_z
Mn1 0.000 0.000 0.000
Mn2 0.258 0.742 0.500
Mn3 0.742 0.258 0.500
In1 0.277 0.277 0.837
In2 0.723 0.723 0.163
Cl1 0.094 0.094 0.398
Cl2 0.136 0.676 0.111
Cl3 0.324 0.864 0.889
Cl4 0.398 0.398 0.551
Cl5 0.602 0.602 0.449
Cl6 0.676 0.136 0.111
Cl7 0.864 0.324 0.889
Cl8 0.906 0.906 0.602
```

Top 6 peaks for 2θ from 10° to 90°, by angle:
20.6°, rel. 94; 22.5°, rel. 100; 26.3°, rel. 64; 33.7°, rel. 73; 39.7°, rel. 54; 48.0°, rel. 60

---

2.
For Nd8Y3, the PBE geometry in Alexandria gives the theoretical X-ray diffraction stick pattern in this record (Cu Ka).
No peak broadening, texture or thermal motion is included.

Atomic structure:
```
data_Nd8Y3
_chemical_formula_sum 'Nd8 Y3'
_symmetry_space_group_name_H-M 'P 1'
_symmetry_Int_Tables_number 1
_cell_length_a 6.327
_cell_length_b 6.327
_cell_length_c 13.196
_cell_angle_alpha 103.86
_cell_angle_beta 103.86
_cell_angle_gamma 48.08
loop_
_symmetry_equiv_pos_as_xyz
'x,y,z'
loop_
_atom_site_label
_atom_site_fract_x
_atom_site_fract_y
_atom_site_fract_z
Nd1 0.046 0.046 0.318
Nd2 0.136 0.136 0.954
Nd3 0.228 0.228 0.591
Nd4 0.319 0.319 0.227
Nd5 0.681 0.681 0.773
Nd6 0.772 0.772 0.409
Nd7 0.864 0.864 0.046
Nd8 0.954 0.954 0.682
Y1 0.409 0.409 0.865
Y2 0.500 0.500 0.500
Y3 0.591 0.591 0.135
```

Top 6 peaks for 2θ from 10° to 90°, by angle:
30.0°, rel. 100; 34.7°, rel. 34; 34.8°, rel. 17; 50.0°, rel. 24; 59.3°, rel. 29; 59.4°, rel. 14